This entry pairs a crystal structure of La2SmGe4Ir2Pd2 with its simulated X-ray powder pattern. Radiation: Cu Kα (weighted mean of Kα1 and Kα2). Structure: a GGA-PBE-relaxed structure.
Intensities are scaled so that the largest is 100.

Cell and atoms:
```
data_La2SmGe4Ir2Pd2
_cell_length_a 4.136
_cell_length_b 4.319
_cell_length_c 25.569
_cell_angle_alpha 90.00
_cell_angle_beta 90.00
_cell_angle_gamma 90.00
_space_group_name_H-M_alt 'I m m m'
_space_group_IT_number 71
_space_group_name_Hall '-I 2 2'
loop_
_atom_site_label
_atom_site_type_symbol
_atom_site_fract_x
_atom_site_fract_y
_atom_site_fract_z
La1 La 0.000 0.000 0.148
Sm1 Sm 0.000 0.500 0.000
Ge1 Ge 0.000 0.000 0.303
Ge2 Ge 0.000 0.500 0.452
Ir1 Ir 0.000 0.500 0.250
Pd1 Pd 0.000 0.000 0.402
```

The 10 most intense peaks (2θ = 15–90°), by angle:
| (hkl) | Position (°2θ) | I_rel |
| --- | --- | --- |
| 1 0 7 | 32.71 | 29 |
| 1 1 4 | 33.10 | 100 |
| 0 1 9 | 37.91 | 14 |
| 0 2 0 | 41.83 | 26 |
| 2 0 0 | 43.78 | 23 |
| 0 1 11 | 44.25 | 16 |
| 1 2 7 | 54.09 | 14 |
| 2 2 0 | 62.15 | 16 |
| 1 1 16 | 66.34 | 11 |
| 1 3 4 | 70.85 | 11 |


This entry pairs a crystal structure of LaSiGe3Ir6 with its simulated X-ray powder pattern. Radiation: Cu Kα (weighted mean of Kα1 and Kα2). Structure: a GGA-PBE-relaxed structure.
Intensities are scaled so that the largest is 100.

Cell and atoms:
```
data_LaSiGe3Ir6
_cell_length_a 7.1898
_cell_length_b 7.1898
_cell_length_c 3.9429
_cell_angle_alpha 90.00
_cell_angle_beta 90.00
_cell_angle_gamma 120.00
_space_group_name_H-M_alt 'P -6 m 2'
_space_group_IT_number 187
_space_group_name_Hall 'P -6 2'
loop_
_atom_site_label
_atom_site_type_symbol
_atom_site_fract_x
_atom_site_fract_y
_atom_site_fract_z
La1 La 0.0000 0.0000 0.0000
Si1 Si 0.3333 0.6667 0.0000
Ge1 Ge 0.3941 0.1970 0.5000
Ir1 Ir 0.2034 0.4069 0.5000
Ir2 Ir 0.5295 0.0591 0.0000
```

The 10 most intense peaks (2θ = 15–90°), by angle:
| (hkl) | Position (°2θ) | I_rel |
| --- | --- | --- |
| 1 0 1 | 26.76 | 18 |
| 2 0 1 | 36.78 | 100 |
| 2 1 0 | 38.24 | 20 |
| 3 0 0 | 43.61 | 19 |
| 2 1 1 | 44.85 | 36 |
| 0 0 2 | 46.04 | 21 |
| 2 2 0 | 50.79 | 17 |
| 3 0 2 | 65.29 | 16 |
| 3 2 1 | 70.06 | 15 |
| 2 2 2 | 70.96 | 13 |


This entry pairs a crystal structure of Li2Mg2NiGe2Ir with its simulated X-ray powder pattern. Radiation: Cu Kα (weighted mean of Kα1 and Kα2). Structure: a GGA-PBE-relaxed structure.
Intensities are scaled so that the largest is 100.

Cell and atoms:
```
data_Li2Mg2NiGe2Ir
_cell_length_a 4.316
_cell_length_b 4.316
_cell_length_c 6.082
_cell_angle_alpha 90.00
_cell_angle_beta 90.00
_cell_angle_gamma 90.00
_space_group_name_H-M_alt 'P -4 m 2'
_space_group_IT_number 115
_space_group_name_Hall 'P -4 -2'
loop_
_atom_site_label
_atom_site_type_symbol
_atom_site_fract_x
_atom_site_fract_y
_atom_site_fract_z
Li1 Li 0.000 0.000 0.000
Li2 Li 0.500 0.500 0.500
Mg1 Mg 0.000 0.500 0.243
Ni1 Ni 0.500 0.500 0.000
Ge1 Ge 0.000 0.500 0.755
Ir1 Ir 0.000 0.000 0.500
```

The 10 most intense peaks (2θ = 15–90°), by angle:
| (hkl) | Position (°2θ) | I_rel |
| --- | --- | --- |
| 1 0 0 | 20.58 | 14 |
| 1 0 1 | 25.30 | 81 |
| 1 1 1 | 32.83 | 10 |
| 2 0 0 | 41.91 | 100 |
| 2 1 1 | 49.54 | 26 |
| 1 0 3 | 49.68 | 13 |
| 2 2 0 | 60.68 | 11 |
| 2 1 3 | 66.93 | 11 |
| 3 1 2 | 76.50 | 22 |
| 2 0 4 | 76.66 | 11 |


This entry pairs a crystal structure of Li2Mg2Ge2IrPt with its simulated X-ray powder pattern. Radiation: Cu Kα (weighted mean of Kα1 and Kα2). Structure: a GGA-PBE-relaxed structure.
Intensities are scaled so that the largest is 100.

Cell and atoms:
```
data_Li2Mg2Ge2IrPt
_cell_length_a 4.380
_cell_length_b 4.380
_cell_length_c 6.226
_cell_angle_alpha 90.00
_cell_angle_beta 90.00
_cell_angle_gamma 90.00
_space_group_name_H-M_alt 'P -4 m 2'
_space_group_IT_number 115
_space_group_name_Hall 'P -4 -2'
loop_
_atom_site_label
_atom_site_type_symbol
_atom_site_fract_x
_atom_site_fract_y
_atom_site_fract_z
Li1 Li 0.000 0.000 0.000
Li2 Li 0.500 0.500 0.500
Mg1 Mg 0.000 0.500 0.249
Ge1 Ge 0.000 0.500 0.736
Ir1 Ir 0.000 0.000 0.500
Pt1 Pt 0.500 0.500 0.000
```

The 10 most intense peaks (2θ = 15–90°), by angle:
| (hkl) | Position (°2θ) | I_rel |
| --- | --- | --- |
| 1 0 1 | 24.85 | 100 |
| 1 1 0 | 28.82 | 8 |
| 1 1 2 | 41.11 | 64 |
| 2 0 0 | 41.22 | 32 |
| 1 0 3 | 48.54 | 17 |
| 2 1 1 | 48.73 | 33 |
| 2 2 0 | 59.71 | 11 |
| 2 1 3 | 65.53 | 14 |
| 2 0 4 | 74.84 | 11 |
| 3 1 2 | 75.06 | 22 |


This entry pairs a crystal structure of Li2Zr2SiGeIr2 with its simulated X-ray powder pattern. Radiation: Cu Kα (weighted mean of Kα1 and Kα2). Structure: a GGA-PBE-relaxed structure.
Intensities are scaled so that the largest is 100.

Cell and atoms:
```
data_Li2Zr2SiGeIr2
_cell_length_a 4.417
_cell_length_b 4.417
_cell_length_c 6.247
_cell_angle_alpha 90.00
_cell_angle_beta 90.00
_cell_angle_gamma 90.00
_space_group_name_H-M_alt 'P -4 m 2'
_space_group_IT_number 115
_space_group_name_Hall 'P -4 -2'
loop_
_atom_site_label
_atom_site_type_symbol
_atom_site_fract_x
_atom_site_fract_y
_atom_site_fract_z
Li1 Li 0.000 0.500 0.249
Zr1 Zr 0.000 0.000 0.000
Zr2 Zr 0.500 0.500 0.500
Si1 Si 0.500 0.500 0.000
Ge1 Ge 0.000 0.000 0.500
Ir1 Ir 0.000 0.500 0.756
```

The 10 most intense peaks (2θ = 15–90°), by angle:
| (hkl) | Position (°2θ) | I_rel |
| --- | --- | --- |
| 1 0 1 | 24.69 | 77 |
| 1 1 0 | 28.58 | 2 |
| 2 0 0 | 40.86 | 100 |
| 2 1 1 | 48.33 | 38 |
| 2 2 0 | 59.16 | 17 |
| 3 0 1 | 65.09 | 16 |
| 3 1 0 | 67.00 | 1 |
| 3 1 2 | 74.40 | 34 |
| 3 2 1 | 79.78 | 12 |
| 4 0 0 | 88.56 | 11 |


This entry pairs a crystal structure of MgZn3Ge2Ir2 with its simulated X-ray powder pattern. Radiation: Cu Kα (weighted mean of Kα1 and Kα2). Structure: a GGA-PBE-relaxed structure.
Intensities are scaled so that the largest is 100.

Cell and atoms:
```
data_MgZn3Ge2Ir2
_cell_length_a 4.2239
_cell_length_b 4.2239
_cell_length_c 8.4149
_cell_angle_alpha 90.00
_cell_angle_beta 90.00
_cell_angle_gamma 120.00
_space_group_name_H-M_alt 'P 3 m 1'
_space_group_IT_number 156
_space_group_name_Hall 'P 3 -2"'
loop_
_atom_site_label
_atom_site_type_symbol
_atom_site_fract_x
_atom_site_fract_y
_atom_site_fract_z
Mg1 Mg 0.0000 0.0000 0.0000
Zn1 Zn 0.0000 0.0000 0.6421
Zn2 Zn 0.3333 0.6667 0.1521
Zn3 Zn 0.3333 0.6667 0.5052
Ge1 Ge 0.6667 0.3333 0.3207
Ge2 Ge 0.6667 0.3333 0.8188
Ir1 Ir 0.0000 0.0000 0.3281
Ir2 Ir 0.3333 0.6667 0.8232
```

The 10 most intense peaks (2θ = 15–90°), by angle:
| (hkl) | Position (°2θ) | I_rel |
| --- | --- | --- |
| 0 0 2 | 21.12 | 46 |
| 1 0 0 | 24.33 | 18 |
| 0 1 1 | 26.57 | 62 |
| 1 0 3 | 40.53 | 100 |
| 1 1 0 | 42.82 | 90 |
| 1 1 2 | 48.21 | 32 |
| 0 2 3 | 60.42 | 30 |
| 1 1 4 | 62.29 | 23 |
| 2 1 3 | 76.87 | 30 |
| 1 1 6 | 82.58 | 24 |


This entry pairs a crystal structure of GeMoIr with its simulated X-ray powder pattern. Radiation: Cu Kα (weighted mean of Kα1 and Kα2). Structure: a GGA-PBE-relaxed structure.
Intensities are scaled so that the largest is 100.

Cell and atoms:
```
data_GeMoIr
_cell_length_a 5.887
_cell_length_b 5.887
_cell_length_c 5.887
_cell_angle_alpha 90.00
_cell_angle_beta 90.00
_cell_angle_gamma 90.00
_space_group_name_H-M_alt 'F -4 3 m'
_space_group_IT_number 216
_space_group_name_Hall 'F -4 2 3'
loop_
_atom_site_label
_atom_site_type_symbol
_atom_site_fract_x
_atom_site_fract_y
_atom_site_fract_z
Ge1 Ge 0.000 0.000 0.000
Mo1 Mo 0.250 0.250 0.250
Ir1 Ir 0.250 0.250 0.750
```

The 10 most intense peaks (2θ = 15–90°), by angle:
| (hkl) | Position (°2θ) | I_rel |
| --- | --- | --- |
| 1 1 1 | 26.22 | 27 |
| 2 0 0 | 30.37 | 45 |
| 2 2 0 | 43.48 | 100 |
| 3 1 1 | 51.49 | 14 |
| 2 2 2 | 53.96 | 12 |
| 4 0 0 | 63.18 | 16 |
| 3 3 1 | 69.62 | 6 |
| 4 2 0 | 71.70 | 16 |
| 4 2 2 | 79.82 | 34 |
| 5 1 1 | 85.77 | 4 |


This entry pairs a crystal structure of NaGePIr2 with its simulated X-ray powder pattern. Radiation: Cu Kα (weighted mean of Kα1 and Kα2). Structure: a GGA-PBE-relaxed structure.
Intensities are scaled so that the largest is 100.

Cell and atoms:
```
data_NaGePIr2
_cell_length_a 4.077
_cell_length_b 4.077
_cell_length_c 10.238
_cell_angle_alpha 90.00
_cell_angle_beta 90.00
_cell_angle_gamma 90.00
_space_group_name_H-M_alt 'I 4 m m'
_space_group_IT_number 107
_space_group_name_Hall 'I 4 -2'
loop_
_atom_site_label
_atom_site_type_symbol
_atom_site_fract_x
_atom_site_fract_y
_atom_site_fract_z
Na1 Na 0.000 0.000 0.000
Ge1 Ge 0.000 0.000 0.383
P1 P 0.000 0.000 0.630
Ir1 Ir 0.000 0.500 0.243
```

The 10 most intense peaks (2θ = 15–90°), by angle:
| (hkl) | Position (°2θ) | I_rel |
| --- | --- | --- |
| 0 0 2 | 17.32 | 100 |
| 1 1 0 | 31.02 | 25 |
| 0 0 4 | 35.06 | 14 |
| 1 1 2 | 35.75 | 97 |
| 2 0 0 | 44.44 | 40 |
| 1 1 4 | 47.51 | 53 |
| 2 0 2 | 48.04 | 30 |
| 1 1 6 | 63.34 | 15 |
| 3 1 2 | 76.14 | 22 |
| 3 1 4 | 84.06 | 21 |